This entry pairs a crystal structure of KV2AsO8 with its simulated powder X-ray diffraction pattern. Radiation: Cu Kα X-rays. Structure: a DFT-relaxed cell (PBE+U, Alexandria).
Neutral-atom scattering factors, no anomalous dispersion.

Atomic structure:
a = 5.4774 Å, b = 5.4774 Å, c = 7.4136 Å
α = 90.00°, β = 90.00°, γ = 120.00°
Space group P-3m1 (No. 164)
One atom of each set of equivalent atoms:
K (0.0000, 0.0000, 0.0000) x1
V (0.3333, 0.6667, 0.2823) x2
As (0.0000, 0.0000, 0.5000) x1
O (0.1545, 0.3089, 0.3516) x6
O (0.3333, 0.6667, 0.0607) x2

Top 10 peaks for 15 to 90 degrees two-theta, low angle first:
2θ = 18.71°, 4.744 Å, I 26, hkl 1 0 0
2θ = 22.25°, 3.996 Å, I 100, hkl 1 0 1
2θ = 30.61°, 2.921 Å, I 56, hkl 1 0 2
2θ = 32.70°, 2.739 Å, I 51, hkl 1 1 0
2θ = 45.40°, 1.998 Å, I 25, hkl 2 0 2
2θ = 52.51°, 1.743 Å, I 17, hkl 2 1 1
2θ = 53.55°, 1.711 Å, I 9, hkl 2 0 3
2θ = 57.06°, 1.614 Å, I 20, hkl 2 1 2
2θ = 60.30°, 1.535 Å, I 14, hkl 1 1 4
2θ = 68.52°, 1.369 Å, I 11, hkl 2 2 0